No. 1
Simulated PXRD pattern of KNaCaSi8Ni5O24 for Cu Kα X-rays, from a cell relaxed with PBE+U.
Peak positions follow from Bragg's law for the DFT cell and can differ from measured ones.

Structural model:
```
data_KNaCaSi8Ni5O24
_chemical_formula_sum 'K1 Na1 Ca1 Si8 Ni5 O24'
_cell_length_a 5.2964
_cell_length_b 10.0857
_cell_length_c 10.3459
_cell_angle_alpha 114.96
_cell_angle_beta 97.59
_cell_angle_gamma 104.73
_space_group_name_H-M_alt 'P 1'
_space_group_IT_number 1
loop_
_space_group_symop_operation_xyz
'x,y,z'
loop_
_atom_site_label
_atom_site_type_symbol
_atom_site_fract_x
_atom_site_fract_y
_atom_site_fract_z
_atom_site_occupancy
K1 K 0.0000 0.0000 0.0000 1
Na1 Na 0.7442 0.2058 0.4491 1
Ca1 Ca 0.2940 0.7558 0.5490 1
Si1 Si 0.1675 0.9367 0.3388 1
Si2 Si 0.2124 0.3665 0.3397 1
Si3 Si 0.4051 0.6692 0.8276 1
Si4 Si 0.4625 0.1221 0.8273 1
Si5 Si 0.5749 0.8403 0.1679 1
Si6 Si 0.6333 0.2915 0.1682 1
Si7 Si 0.8240 0.5933 0.6566 1
Si8 Si 0.8726 0.0268 0.6556 1
Ni1 Ni 0.1033 0.5649 0.1661 1
Ni2 Ni 0.3397 0.3011 0.6387 1
Ni3 Ni 0.5184 0.4803 0.9967 1
Ni4 Ni 0.6956 0.6573 0.3509 1
Ni5 Ni 0.9334 0.3950 0.8265 1
O1 O 0.0838 0.7652 0.3361 1
O2 O 0.1183 0.3859 0.9949 1
O3 O 0.1440 0.7055 0.7641 1
O4 O 0.1475 0.0029 0.7328 1
O5 O 0.2083 0.3734 0.4960 1
O6 O 0.2925 0.5346 0.3363 1
O7 O 0.3260 0.5016 0.8219 1
O8 O 0.3267 0.0854 0.4960 1
O9 O 0.3693 0.9340 0.2268 1
O10 O 0.4077 0.2685 0.2585 1
O11 O 0.4901 0.1489 0.9971 1
O12 O 0.5012 0.6770 0.1730 1
O13 O 0.5356 0.2837 0.8216 1
O14 O 0.5499 0.8115 0.9971 1
O15 O 0.6244 0.6935 0.7322 1
O16 O 0.6613 0.0227 0.7645 1
O17 O 0.7026 0.8702 0.5036 1
O18 O 0.7120 0.4597 0.1732 1
O19 O 0.7458 0.4306 0.6657 1
O20 O 0.8401 0.5963 0.5035 1
O21 O 0.8905 0.9542 0.2590 1
O22 O 0.8983 0.2567 0.2267 1
O23 O 0.9164 0.5717 0.9950 1
O24 O 0.9596 0.1986 0.6652 1
```

The 12 most intense peaks (2θ = 10–90°), low angle first:
- 2θ 10.3, I = 100, hkl 0 1 -1
- 2θ 26.4, I = 26, hkl 1 -2 2
- 2θ 27.9, I = 35, hkl 0 3 -2
- 2θ 32.0, I = 13, hkl 1 2 -3
- 2θ 33.1, I = 38, hkl -1 2 2
- 2θ 34.6, I = 31, hkl 1 -1 3
- 2θ 35.0, I = 33, hkl 2 0 -1
- 2θ 37.9, I = 17, hkl 1 2 1
- 2θ 38.9, I = 12, hkl 2 1 -1
- 2θ 41.7, I = 23, hkl 1 -3 4
- 2θ 55.1, I = 15, hkl 1 -5 5
- 2θ 61.0, I = 13, hkl 3 -1 2

No. 2
Simulated PXRD pattern of Ca4Co5Te3O18 for Cu Kα X-rays, from a cell relaxed with PBE+U.
Peak positions follow from Bragg's law for the DFT cell and can differ from measured ones.

Structural model:
```
data_Ca4Co5Te3O18
_chemical_formula_sum 'Ca16 Co20 Te12 O72'
_cell_length_a 15.8999
_cell_length_b 9.3286
_cell_length_c 10.6584
_cell_angle_alpha 90.00
_cell_angle_beta 95.12
_cell_angle_gamma 90.00
_space_group_name_H-M_alt 'C 1 2/c 1'
_space_group_IT_number 15
loop_
_space_group_symop_operation_xyz
'x,y,z'
'-x,-y,-z'
'-x,y,-z+1/2'
'x,-y,z+1/2'
'x+1/2,y+1/2,z'
'-x+1/2,-y+1/2,-z'
'-x+1/2,y+1/2,-z+1/2'
'x+1/2,-y+1/2,z+1/2'
loop_
_atom_site_label
_atom_site_type_symbol
_atom_site_fract_x
_atom_site_fract_y
_atom_site_fract_z
_atom_site_occupancy
Ca1 Ca 0.0161 0.1594 0.0480 1
Ca2 Ca 0.1952 0.3678 0.9042 1
Co1 Co 0.0000 0.3277 0.7500 1
Co2 Co 0.1446 0.3335 0.2745 1
Co3 Co 0.1721 0.2213 0.5647 1
Te1 Te 0.0000 0.5000 0.0000 1
Te2 Te 0.1656 0.0139 0.8072 1
O1 O 0.0569 0.3405 0.9261 1
O2 O 0.0666 0.4823 0.1622 1
O3 O 0.0827 0.0027 0.9254 1
O4 O 0.0843 0.3555 0.4438 1
O5 O 0.1039 0.1718 0.7087 1
O6 O 0.1155 0.1421 0.2022 1
O7 O 0.2222 0.1583 0.3960 1
O8 O 0.2362 0.1419 0.9081 1
O9 O 0.2494 0.0529 0.6823 1
```

The 12 most intense peaks (2θ = 10–90°), low angle first:
- 2θ 19.3, I = 100, hkl 3 1 0
- 2θ 19.6, I = 36, hkl 1 1 -2
- 2θ 21.0, I = 52, hkl 2 0 2
- 2θ 26.9, I = 55, hkl 4 0 -2
- 2θ 28.5, I = 77, hkl 2 2 2
- 2θ 30.7, I = 38, hkl 3 1 -3
- 2θ 33.1, I = 62, hkl 3 1 3
- 2θ 33.4, I = 44, hkl 3 3 0
- 2θ 33.6, I = 81, hkl 1 3 -2
- 2θ 34.0, I = 31, hkl 6 0 0
- 2θ 45.3, I = 37, hkl 5 3 2
- 2θ 51.7, I = 45, hkl 7 3 -2

No. 3
Simulated PXRD pattern of RbHoMo2O8 for Cu Kα X-rays, from a cell relaxed with PBE+U.
Peak positions follow from Bragg's law for the DFT cell and can differ from measured ones.

Structural model:
```
data_RbHoMo2O8
_chemical_formula_sum 'Rb4 Ho4 Mo8 O32'
_cell_length_a 5.1466
_cell_length_b 19.1437
_cell_length_c 8.1989
_cell_angle_alpha 90.00
_cell_angle_beta 90.00
_cell_angle_gamma 90.00
_space_group_name_H-M_alt 'P b c n'
_space_group_IT_number 60
loop_
_space_group_symop_operation_xyz
'x,y,z'
'-x,-y,-z'
'-x+1/2,-y+1/2,z+1/2'
'x+1/2,y+1/2,-z+1/2'
'x+1/2,-y+1/2,-z'
'-x+1/2,y+1/2,z'
'-x,y,-z+1/2'
'x,-y,z+1/2'
loop_
_atom_site_label
_atom_site_type_symbol
_atom_site_fract_x
_atom_site_fract_y
_atom_site_fract_z
_atom_site_occupancy
Rb1 Rb 0.0000 0.2289 0.2500 1
Ho1 Ho 0.0000 0.0066 0.7500 1
Mo1 Mo 0.0252 0.4031 0.5152 1
O1 O 0.0912 0.3170 0.9756 1
O2 O 0.2341 0.4055 0.3393 1
O3 O 0.2422 0.4136 0.6887 1
O4 O 0.2469 0.0352 0.5062 1
```

The 12 most intense peaks (2θ = 10–90°), low angle first:
- 2θ 22.2, I = 34, hkl 1 3 0
- 2θ 24.7, I = 16, hkl 1 3 1
- 2θ 28.2, I = 100, hkl 1 1 2
- 2θ 28.7, I = 48, hkl 0 4 2
- 2θ 29.1, I = 60, hkl 1 5 0
- 2θ 34.9, I = 17, hkl 2 0 0
- 2θ 44.2, I = 14, hkl 0 0 4
- 2θ 45.7, I = 40, hkl 2 4 2
- 2θ 50.7, I = 15, hkl 2 6 2
- 2θ 51.6, I = 20, hkl 1 9 2
- 2θ 53.8, I = 20, hkl 1 5 4
- 2θ 58.5, I = 11, hkl 3 1 2

No. 4
Simulated PXRD pattern of Li9Mn2Co5O16 for Cu Kα X-rays, from a cell relaxed with PBE+U.
Peak positions follow from Bragg's law for the DFT cell and can differ from measured ones.

Structural model:
```
data_Li9Mn2Co5O16
_chemical_formula_sum 'Li9 Mn2 Co5 O16'
_cell_length_a 9.9907
_cell_length_b 2.9663
_cell_length_c 10.0330
_cell_angle_alpha 90.00
_cell_angle_beta 101.65
_cell_angle_gamma 90.00
_space_group_name_H-M_alt 'P 1 m 1'
_space_group_IT_number 6
loop_
_space_group_symop_operation_xyz
'x,y,z'
'x,-y,z'
loop_
_atom_site_label
_atom_site_type_symbol
_atom_site_fract_x
_atom_site_fract_y
_atom_site_fract_z
_atom_site_occupancy
Li1 Li 0.0000 0.0000 0.0000 1
Li2 Li 0.0018 0.5000 0.7546 1
Li3 Li 0.5172 0.0000 0.7705 1
Li4 Li 0.5205 0.5000 0.5203 1
Li5 Li 0.5254 0.5000 0.0074 1
Li6 Li 0.5338 0.0000 0.2667 1
Li7 Li 0.7577 0.5000 0.3843 1
Li8 Li 0.9883 0.0000 0.5052 1
Li9 Li 0.9910 0.5000 0.2572 1
Mn1 Mn 0.2563 0.0000 0.3878 1
Mn2 Mn 0.2557 0.5000 0.1295 1
Co1 Co 0.2617 0.0000 0.8726 1
Co2 Co 0.2625 0.5000 0.6437 1
Co3 Co 0.7549 0.0000 0.1461 1
Co4 Co 0.7618 0.5000 0.8841 1
Co5 Co 0.7629 0.0000 0.6206 1
O1 O 0.1429 0.0000 0.7033 1
O2 O 0.1471 0.5000 0.4338 1
O3 O 0.1487 0.5000 0.9539 1
O4 O 0.1509 0.0000 0.1929 1
O5 O 0.3590 0.5000 0.3217 1
O6 O 0.3628 0.0000 0.0821 1
O7 O 0.3691 0.0000 0.5623 1
O8 O 0.3857 0.5000 0.8358 1
O9 O 0.6350 0.0000 0.4651 1
O10 O 0.6366 0.5000 0.1920 1
O11 O 0.6491 0.5000 0.7158 1
O12 O 0.6505 0.0000 0.9528 1
O13 O 0.8726 0.0000 0.8173 1
O14 O 0.8728 0.5000 0.0545 1
O15 O 0.8788 0.5000 0.5740 1
O16 O 0.8806 0.0000 0.3029 1
```

The 12 most intense peaks (2θ = 10–90°), low angle first:
- 2θ 18.1, I = 100, hkl 2 0 0
- 2θ 35.6, I = 28, hkl 1 1 -2
- 2θ 36.6, I = 11, hkl 0 0 4
- 2θ 37.5, I = 11, hkl 1 1 2
- 2θ 42.8, I = 56, hkl 3 1 -2
- 2θ 44.5, I = 24, hkl 2 0 4
- 2θ 47.6, I = 9, hkl 3 1 2
- 2θ 56.3, I = 9, hkl 5 1 -2
- 2θ 62.6, I = 9, hkl 0 2 0
- 2θ 62.9, I = 14, hkl 5 1 2
- 2θ 63.9, I = 13, hkl 1 1 -6
- 2θ 80.0, I = 9, hkl 2 2 4